[1]
Computed X-ray diffraction stick pattern
Compound: Dy8TcNi2
Radiation: Cu Ka
Structure: a cell relaxed with PBE

Top 10 peaks for 2θ = 15–90°, most intense first:
32.69°, rel. 100
34.21°, rel. 72
31.80°, rel. 71
32.29°, rel. 68
39.42°, rel. 54
31.13°, rel. 52
36.72°, rel. 48
27.01°, rel. 30
55.09°, rel. 28
27.56°, rel. 27

```
data_Dy8TcNi2
_chemical_formula_sum 'Dy8 Tc1 Ni2'
_cell_length_a 7.5220
_cell_length_b 7.5220
_cell_length_c 5.7768
_cell_angle_alpha 99.84
_cell_angle_beta 99.84
_cell_angle_gamma 114.45
_symmetry_space_group_name_H-M 'P 1'
_symmetry_Int_Tables_number 1
_symmetry_space_group_name_Hall 'P 1'
loop_
_atom_site_label
_atom_site_type_symbol
_atom_site_fract_x
_atom_site_fract_y
_atom_site_fract_z
Dy1 Dy 0.0000 0.0000 0.0000
Dy2 Dy 0.0271 0.2798 0.5730
Dy3 Dy 0.1395 0.5716 0.1734
Dy4 Dy 0.2798 0.0271 0.5730
Dy5 Dy 0.4378 0.6894 0.7619
Dy6 Dy 0.5716 0.1395 0.1734
Dy7 Dy 0.6894 0.4378 0.7619
Dy8 Dy 0.7219 0.7219 0.3547
Tc1 Tc 0.3631 0.3631 0.2790
Ni1 Ni 0.0564 0.6673 0.6782
Ni2 Ni 0.6673 0.0564 0.6782
```


[2]
Computed X-ray diffraction stick pattern
Compound: Li2Mg3Ir
Radiation: Cu Ka
Structure: a cell relaxed with PBE

Top 10 peaks for 2θ = 15–90°, most intense first:
39.10°, rel. 100
20.27°, rel. 99
34.58°, rel. 48
47.04°, rel. 36
30.50°, rel. 31
25.12°, rel. 24
37.75°, rel. 23
27.03°, rel. 21
38.08°, rel. 20
70.85°, rel. 20

```
data_Li2Mg3Ir
_chemical_formula_sum 'Li4 Mg6 Ir2'
_cell_length_a 4.6071
_cell_length_b 14.1788
_cell_length_c 3.2187
_cell_angle_alpha 90.00
_cell_angle_beta 90.00
_cell_angle_gamma 90.00
_symmetry_space_group_name_H-M 'P 1'
_symmetry_Int_Tables_number 1
_symmetry_space_group_name_Hall 'P 1'
loop_
_atom_site_label
_atom_site_type_symbol
_atom_site_fract_x
_atom_site_fract_y
_atom_site_fract_z
Li1 Li 0.2500 0.0795 0.0032
Li2 Li 0.2500 0.4205 0.0032
Li3 Li 0.7500 0.5795 0.9968
Li4 Li 0.7500 0.9205 0.9968
Mg1 Mg 0.2500 0.2500 0.5068
Mg2 Mg 0.2500 0.5990 0.4959
Mg3 Mg 0.2500 0.9010 0.4959
Mg4 Mg 0.7500 0.0990 0.5041
Mg5 Mg 0.7500 0.4010 0.5041
Mg6 Mg 0.7500 0.7500 0.4932
Ir1 Ir 0.2500 0.7500 0.9954
Ir2 Ir 0.7500 0.2500 0.0046
```


[3]
Computed X-ray diffraction stick pattern
Compound: ZrPt4Br
Radiation: Cu Ka
Structure: a cell relaxed with PBE

Top 10 peaks for 2θ = 15–90°, most intense first:
39.40°, rel. 100
41.23°, rel. 67
20.28°, rel. 46
63.75°, rel. 33
70.19°, rel. 32
84.78°, rel. 26
47.97°, rel. 20
52.59°, rel. 12
83.59°, rel. 12
33.41°, rel. 9

```
data_ZrPt4Br
_chemical_formula_sum 'Zr1 Pt4 Br1'
_cell_length_a 5.3637
_cell_length_b 5.3637
_cell_length_c 5.3637
_cell_angle_alpha 60.00
_cell_angle_beta 60.00
_cell_angle_gamma 60.00
_symmetry_space_group_name_H-M 'P 1'
_symmetry_Int_Tables_number 1
_symmetry_space_group_name_Hall 'P 1'
loop_
_atom_site_label
_atom_site_type_symbol
_atom_site_fract_x
_atom_site_fract_y
_atom_site_fract_z
Zr1 Zr 0.0000 0.0000 0.0000
Pt1 Pt 0.3746 0.3746 0.3746
Pt2 Pt 0.3746 0.3746 0.8763
Pt3 Pt 0.3746 0.8763 0.3746
Pt4 Pt 0.8763 0.3746 0.3746
Br1 Br 0.7500 0.7500 0.7500
```


[4]
Computed X-ray diffraction stick pattern
Compound: Mg17MnAl11
Radiation: Cu Ka
Structure: a cell relaxed with PBE

Top 10 peaks for 2θ = 15–90°, most intense first:
36.25°, rel. 100
36.50°, rel. 64
36.38°, rel. 58
40.24°, rel. 49
40.64°, rel. 18
43.89°, rel. 17
65.37°, rel. 16
34.22°, rel. 15
42.10°, rel. 12
65.26°, rel. 11

```
data_Mg17MnAl11
_chemical_formula_sum 'Mg17 Mn1 Al11'
_cell_length_a 9.1042
_cell_length_b 9.1042
_cell_length_c 9.0142
_cell_angle_alpha 109.36
_cell_angle_beta 109.36
_cell_angle_gamma 109.55
_symmetry_space_group_name_H-M 'P 1'
_symmetry_Int_Tables_number 1
_symmetry_space_group_name_Hall 'P 1'
loop_
_atom_site_label
_atom_site_type_symbol
_atom_site_fract_x
_atom_site_fract_y
_atom_site_fract_z
Mg1 Mg 0.0000 0.0000 0.0000
Mg2 Mg 0.0048 0.0048 0.3592
Mg3 Mg 0.0047 0.6907 0.7493
Mg4 Mg 0.0061 0.4084 0.0423
Mg5 Mg 0.0055 0.6677 0.3631
Mg6 Mg 0.2878 0.6037 0.9549
Mg7 Mg 0.3238 0.3238 0.0709
Mg8 Mg 0.3245 0.7202 0.6724
Mg9 Mg 0.3577 0.3577 0.7018
Mg10 Mg 0.4084 0.0061 0.0423
Mg11 Mg 0.4130 0.6920 0.3595
Mg12 Mg 0.6037 0.2878 0.9549
Mg13 Mg 0.6167 0.6167 0.6423
Mg14 Mg 0.6677 0.0055 0.3631
Mg15 Mg 0.6907 0.0047 0.7493
Mg16 Mg 0.6920 0.4130 0.3595
Mg17 Mg 0.7202 0.3245 0.6724
Mn1 Mn 0.8327 0.8327 0.5448
Al1 Al 0.0032 0.1863 0.7196
Al2 Al 0.0092 0.3753 0.5436
Al3 Al 0.1845 0.8190 0.1698
Al4 Al 0.1863 0.0032 0.7196
Al5 Al 0.1891 0.3694 0.3520
Al6 Al 0.3694 0.1891 0.3520
Al7 Al 0.3753 0.0092 0.5436
Al8 Al 0.6369 0.8213 0.9905
Al9 Al 0.6476 0.6476 0.1919
Al10 Al 0.8190 0.1845 0.1698
Al11 Al 0.8213 0.6369 0.9905
```